This entry pairs a crystal structure of Ac2Au17 with its computed XRD peak list. Radiation: CuKα. Structure: a cell relaxed with PBE.
No peak broadening, texture or thermal motion is included.

Main lines, in order of rising 2θ (2θ from 10° to 90°):
d (Å), Rel. int.
2.803, 33
2.723, 25
2.427, 58
2.416, 100
2.382, 35
2.364, 25
2.163, 72
1.402, 31

Crystal structure
```
data_Ac2Au17
_chemical_formula_sum 'Ac2 Au17'
_cell_length_a 7.3565
_cell_length_b 7.3565
_cell_length_c 7.3565
_cell_angle_alpha 82.59
_cell_angle_beta 82.59
_cell_angle_gamma 82.59
_space_group_name_H-M_alt 'P 1'
_space_group_IT_number 1
_space_group_name_Hall 'P 1'
loop_
_atom_site_label
_atom_site_fract_x
_atom_site_fract_y
_atom_site_fract_z
Ac1 0.1649 0.1649 0.1649
Ac2 0.8351 0.8351 0.8351
Au1 0.0000 0.5000 0.5000
Au2 0.1461 0.1461 0.6590
Au3 0.1461 0.6590 0.1461
Au4 0.1982 0.5000 0.8018
Au5 0.1982 0.8018 0.5000
Au6 0.3410 0.8539 0.8539
Au7 0.3990 0.3990 0.3990
Au8 0.5000 0.0000 0.5000
Au9 0.5000 0.1982 0.8018
Au10 0.5000 0.5000 0.0000
Au11 0.5000 0.8018 0.1982
Au12 0.6010 0.6010 0.6010
Au13 0.6590 0.1461 0.1461
Au14 0.8018 0.1982 0.5000
Au15 0.8018 0.5000 0.1982
Au16 0.8539 0.3410 0.8539
Au17 0.8539 0.8539 0.3410
```

This entry pairs a crystal structure of AcCd2Au4 with its computed XRD peak list. Radiation: CuKα. Structure: a cell relaxed with PBE.
No peak broadening, texture or thermal motion is included.

Main lines, in order of rising 2θ (2θ from 10° to 90°):
d (Å), Rel. int.
2.847, 82
2.604, 51
2.494, 33
2.252, 100
1.921, 20
1.500, 20
1.481, 25
1.330, 21

Crystal structure
```
data_AcCd2Au4
_chemical_formula_sum 'Ac2 Cd4 Au8'
_cell_length_a 7.3641
_cell_length_b 7.3641
_cell_length_c 5.6830
_cell_angle_alpha 90.00
_cell_angle_beta 90.00
_cell_angle_gamma 90.00
_space_group_name_H-M_alt 'P 1'
_space_group_IT_number 1
_space_group_name_Hall 'P 1'
loop_
_atom_site_label
_atom_site_fract_x
_atom_site_fract_y
_atom_site_fract_z
Ac1 0.0000 0.0000 0.0000
Ac2 0.5000 0.5000 0.5000
Cd1 0.0000 0.5000 0.2500
Cd2 0.0000 0.5000 0.7500
Cd3 0.5000 0.0000 0.2500
Cd4 0.5000 0.0000 0.7500
Au1 0.1936 0.1936 0.5000
Au2 0.1936 0.8064 0.5000
Au3 0.3064 0.3064 0.0000
Au4 0.3064 0.6936 0.0000
Au5 0.6936 0.3064 0.0000
Au6 0.6936 0.6936 0.0000
Au7 0.8064 0.1936 0.5000
Au8 0.8064 0.8064 0.5000
```

This entry pairs a crystal structure of Ac2Ga7Au with its computed XRD peak list. Radiation: CuKα. Structure: a cell relaxed with PBE.
No peak broadening, texture or thermal motion is included.

Main lines, in order of rising 2θ (2θ from 10° to 90°):
d (Å), Rel. int.
4.197, 25
2.778, 56
2.755, 100
2.290, 52
1.906, 23
1.767, 30
1.465, 18
1.396, 25

Crystal structure
```
data_Ac2Ga7Au
_chemical_formula_sum 'Ac2 Ga7 Au1'
_cell_length_a 4.5798
_cell_length_b 4.5798
_cell_length_c 10.4814
_cell_angle_alpha 90.00
_cell_angle_beta 90.00
_cell_angle_gamma 90.00
_space_group_name_H-M_alt 'P 1'
_space_group_IT_number 1
_space_group_name_Hall 'P 1'
loop_
_atom_site_label
_atom_site_fract_x
_atom_site_fract_y
_atom_site_fract_z
Ac1 0.0000 0.5000 0.2474
Ac2 0.5000 0.0000 0.7526
Ga1 0.0000 0.0000 0.0000
Ga2 0.0000 0.0000 0.5000
Ga3 0.0000 0.5000 0.6286
Ga4 0.0000 0.5000 0.8715
Ga5 0.5000 0.0000 0.1285
Ga6 0.5000 0.0000 0.3714
Ga7 0.5000 0.5000 0.5000
Au1 0.5000 0.5000 0.0000
```

This entry pairs a crystal structure of Ac2Ga5Au3 with its computed XRD peak list. Radiation: CuKα. Structure: a cell relaxed with PBE.
No peak broadening, texture or thermal motion is included.

Main lines, in order of rising 2θ (2θ from 10° to 90°):
d (Å), Rel. int.
3.187, 34
2.821, 100
2.750, 57
2.745, 56
2.253, 82
1.956, 41
1.761, 51
1.477, 32

Crystal structure
```
data_Ac2Ga5Au3
_chemical_formula_sum 'Ac4 Ga10 Au6'
_cell_length_a 8.9529
_cell_length_b 8.9529
_cell_length_c 8.9529
_cell_angle_alpha 105.37
_cell_angle_beta 89.37
_cell_angle_gamma 138.25
_space_group_name_H-M_alt 'P 1'
_space_group_IT_number 1
_space_group_name_Hall 'P 1'
loop_
_atom_site_label
_atom_site_fract_x
_atom_site_fract_y
_atom_site_fract_z
Ac1 0.1258 0.2432 0.3690
Ac2 0.3742 0.7432 0.1174
Ac3 0.6258 0.2568 0.8826
Ac4 0.8742 0.7568 0.6310
Ga1 0.0090 0.7500 0.2590
Ga2 0.1210 0.6373 0.7583
Ga3 0.2500 0.2500 0.0000
Ga4 0.3790 0.1373 0.5163
Ga5 0.4910 0.7500 0.7410
Ga6 0.5090 0.2500 0.2590
Ga7 0.6210 0.8627 0.4837
Ga8 0.7500 0.7500 0.0000
Ga9 0.8790 0.3627 0.2417
Ga10 0.9910 0.2500 0.7410
Au1 0.1296 0.8759 0.0055
Au2 0.2500 0.7500 0.5000
Au3 0.3704 0.3759 0.7463
Au4 0.6296 0.6241 0.2537
Au5 0.7500 0.2500 0.5000
Au6 0.8704 0.1241 0.9945
```

This entry pairs a crystal structure of Ac2GaAu3 with its computed XRD peak list. Radiation: CuKα. Structure: a cell relaxed with PBE.
No peak broadening, texture or thermal motion is included.

Main lines, in order of rising 2θ (2θ from 10° to 90°):
d (Å), Rel. int.
2.882, 47
2.871, 100
2.390, 57
2.371, 30
2.003, 18
1.831, 26
1.535, 32
1.530, 15

Crystal structure
```
data_Ac2GaAu3
_chemical_formula_sum 'Ac2 Ga1 Au3'
_cell_length_a 4.0055
_cell_length_b 4.7410
_cell_length_c 8.3002
_cell_angle_alpha 90.00
_cell_angle_beta 90.00
_cell_angle_gamma 90.00
_space_group_name_H-M_alt 'P 1'
_space_group_IT_number 1
_space_group_name_Hall 'P 1'
loop_
_atom_site_label
_atom_site_fract_x
_atom_site_fract_y
_atom_site_fract_z
Ac1 0.0000 0.0000 0.0000
Ac2 0.0000 0.5000 0.4848
Ga1 0.5000 0.5000 0.8180
Au1 0.5000 0.0000 0.3330
Au2 0.5000 0.0000 0.6769
Au3 0.5000 0.5000 0.1404
```

This entry pairs a crystal structure of AcHAu with its computed XRD peak list. Radiation: CuKα. Structure: a cell relaxed with PBE.
No peak broadening, texture or thermal motion is included.

Main lines, in order of rising 2θ (2θ from 10° to 90°):
d (Å), Rel. int.
3.231, 35
3.016, 50
2.993, 100
2.932, 34
2.722, 86
2.598, 37
2.482, 41
2.185, 38

Crystal structure
```
data_AcHAu
_chemical_formula_sum 'Ac2 H2 Au2'
_cell_length_a 4.2199
_cell_length_b 4.3693
_cell_length_c 7.1489
_cell_angle_alpha 90.00
_cell_angle_beta 103.18
_cell_angle_gamma 90.00
_space_group_name_H-M_alt 'P 1'
_space_group_IT_number 1
_space_group_name_Hall 'P 1'
loop_
_atom_site_label
_atom_site_fract_x
_atom_site_fract_y
_atom_site_fract_z
Ac1 0.1741 0.2500 0.3018
Ac2 0.8259 0.7500 0.6982
H1 0.2494 0.7500 0.4971
H2 0.7506 0.2500 0.5029
Au1 0.3958 0.2500 0.8705
Au2 0.6042 0.7500 0.1295
```

This entry pairs a crystal structure of AcMg4Au2 with its computed XRD peak list. Radiation: CuKα. Structure: a cell relaxed with PBE.
No peak broadening, texture or thermal motion is included.

Main lines, in order of rising 2θ (2θ from 10° to 90°):
d (Å), Rel. int.
5.999, 46
3.596, 91
2.999, 75
2.899, 100
2.393, 44
2.303, 69
1.798, 35
1.487, 35

Crystal structure
```
data_AcMg4Au2
_chemical_formula_sum 'Ac2 Mg8 Au4'
_cell_length_a 8.4836
_cell_length_b 8.4836
_cell_length_c 4.4922
_cell_angle_alpha 90.00
_cell_angle_beta 90.00
_cell_angle_gamma 90.00
_space_group_name_H-M_alt 'P 1'
_space_group_IT_number 1
_space_group_name_Hall 'P 1'
loop_
_atom_site_label
_atom_site_fract_x
_atom_site_fract_y
_atom_site_fract_z
Ac1 0.0000 0.0000 0.0000
Ac2 0.5000 0.5000 0.5000
Mg1 0.0863 0.3378 0.5000
Mg2 0.1622 0.5863 0.0000
Mg3 0.3378 0.0863 0.5000
Mg4 0.4137 0.8378 0.0000
Mg5 0.5863 0.1622 0.0000
Mg6 0.6622 0.9137 0.5000
Mg7 0.8378 0.4137 0.0000
Mg8 0.9137 0.6622 0.5000
Au1 0.2187 0.7813 0.5000
Au2 0.2813 0.2813 0.0000
Au3 0.7187 0.7187 0.0000
Au4 0.7813 0.2187 0.5000
```

This entry pairs a crystal structure of NaAcTe2Au2 with its computed XRD peak list. Radiation: CuKα. Structure: a cell relaxed with PBE.
No peak broadening, texture or thermal motion is included.

Main lines, in order of rising 2θ (2θ from 10° to 90°):
d (Å), Rel. int.
4.368, 40
4.069, 50
3.972, 67
2.616, 100
2.524, 55
2.484, 93
2.326, 52
1.711, 35

Crystal structure
```
data_NaAcTe2Au2
_chemical_formula_sum 'Na4 Ac4 Te8 Au8'
_cell_length_a 10.1265
_cell_length_b 4.6523
_cell_length_c 15.7478
_cell_angle_alpha 90.00
_cell_angle_beta 104.29
_cell_angle_gamma 90.00
_space_group_name_H-M_alt 'P 1'
_space_group_IT_number 1
_space_group_name_Hall 'P 1'
loop_
_atom_site_label
_atom_site_fract_x
_atom_site_fract_y
_atom_site_fract_z
Na1 0.0000 0.0000 0.0000
Na2 0.1014 0.5000 0.7355
Na3 0.3623 0.5000 0.2117
Na4 0.8618 0.5000 0.2297
Ac1 0.2463 0.0000 0.4970
Ac2 0.4842 0.0000 0.9955
Ac3 0.6228 0.5000 0.7636
Ac4 0.7328 0.0000 0.4833
Te1 0.1304 0.0000 0.2355
Te2 0.2180 0.5000 0.9744
Te3 0.3569 0.0000 0.7645
Te4 0.4665 0.5000 0.4427
Te5 0.6536 0.0000 0.2581
Te6 0.7955 0.5000 0.0162
Te7 0.8862 0.0000 0.7587
Te8 0.9855 0.5000 0.4694
Au1 0.0674 0.5000 0.1256
Au2 0.1554 0.0000 0.8666
Au3 0.3147 0.5000 0.6317
Au4 0.4071 0.0000 0.3325
Au5 0.5762 0.5000 0.1274
Au6 0.7107 0.0000 0.8950
Au7 0.7968 0.5000 0.6209
Au8 0.9453 0.0000 0.3462
```

This entry pairs a crystal structure of AcNiAu with its computed XRD peak list. Radiation: CuKα. Structure: a cell relaxed with PBE.
No peak broadening, texture or thermal motion is included.

Main lines, in order of rising 2θ (2θ from 10° to 90°):
d (Å), Rel. int.
3.348, 66
2.368, 100
1.933, 20
1.674, 17
1.497, 27
1.367, 36
1.184, 11
1.116, 14

Crystal structure
```
data_AcNiAu
_chemical_formula_sum 'Ac4 Ni4 Au4'
_cell_length_a 6.6966
_cell_length_b 6.6966
_cell_length_c 6.6966
_cell_angle_alpha 90.00
_cell_angle_beta 90.00
_cell_angle_gamma 90.00
_space_group_name_H-M_alt 'P 1'
_space_group_IT_number 1
_space_group_name_Hall 'P 1'
loop_
_atom_site_label
_atom_site_fract_x
_atom_site_fract_y
_atom_site_fract_z
Ac1 0.0000 0.0000 0.0000
Ac2 0.0000 0.5000 0.5000
Ac3 0.5000 0.0000 0.5000
Ac4 0.5000 0.5000 0.0000
Ni1 0.2500 0.2500 0.2500
Ni2 0.2500 0.7500 0.7500
Ni3 0.7500 0.2500 0.7500
Ni4 0.7500 0.7500 0.2500
Au1 0.0000 0.0000 0.5000
Au2 0.0000 0.5000 0.0000
Au3 0.5000 0.0000 0.0000
Au4 0.5000 0.5000 0.5000
```

This entry pairs a crystal structure of AcPd2Au10 with its computed XRD peak list. Radiation: CuKα. Structure: a cell relaxed with PBE.
No peak broadening, texture or thermal motion is included.

Main lines, in order of rising 2θ (2θ from 10° to 90°):
d (Å), Rel. int.
2.762, 78
2.437, 100
2.411, 80
2.370, 92
2.362, 89
2.180, 61
2.155, 49
1.381, 46

Crystal structure
```
data_AcPd2Au10
_chemical_formula_sum 'Ac1 Pd2 Au10'
_cell_length_a 9.4850
_cell_length_b 7.3671
_cell_length_c 7.1993
_cell_angle_alpha 81.25
_cell_angle_beta 50.15
_cell_angle_gamma 48.61
_space_group_name_H-M_alt 'P 1'
_space_group_IT_number 1
_space_group_name_Hall 'P 1'
loop_
_atom_site_label
_atom_site_fract_x
_atom_site_fract_y
_atom_site_fract_z
Ac1 0.0000 0.0000 0.0000
Pd1 0.0000 0.0000 0.5000
Pd2 0.5000 0.5000 0.0000
Au1 0.0000 0.5000 0.0000
Au2 0.0080 0.6534 0.3466
Au3 0.2836 0.5025 0.4975
Au4 0.3466 0.9920 0.0080
Au5 0.4975 0.7164 0.2836
Au6 0.5000 0.0000 0.5000
Au7 0.5025 0.2836 0.7164
Au8 0.6534 0.0080 0.9920
Au9 0.7164 0.4975 0.5025
Au10 0.9920 0.3466 0.6534
```

This entry pairs a crystal structure of Ac2Zn5Au3 with its computed XRD peak list. Radiation: CuKα. Structure: a cell relaxed with PBE.
No peak broadening, texture or thermal motion is included.

Main lines, in order of rising 2θ (2θ from 10° to 90°):
d (Å), Rel. int.
3.205, 25
2.959, 27
2.817, 85
2.761, 89
2.708, 89
2.236, 100
1.957, 48
1.379, 27

Crystal structure
```
data_Ac2Zn5Au3
_chemical_formula_sum 'Ac4 Zn10 Au6'
_cell_length_a 8.9680
_cell_length_b 8.9680
_cell_length_c 8.9680
_cell_angle_alpha 105.30
_cell_angle_beta 88.77
_cell_angle_gamma 139.25
_space_group_name_H-M_alt 'P 1'
_space_group_IT_number 1
_space_group_name_Hall 'P 1'
loop_
_atom_site_label
_atom_site_fract_x
_atom_site_fract_y
_atom_site_fract_z
Ac1 0.1254 0.2309 0.3562
Ac2 0.3746 0.7309 0.1055
Ac3 0.6254 0.2691 0.8945
Ac4 0.8746 0.7691 0.6438
Zn1 0.0301 0.7500 0.2801
Zn2 0.1453 0.8943 0.0395
Zn3 0.2500 0.7500 0.5000
Zn4 0.3547 0.3943 0.7490
Zn5 0.4699 0.7500 0.7199
Zn6 0.5301 0.2500 0.2801
Zn7 0.6453 0.6057 0.2510
Zn8 0.7500 0.2500 0.5000
Zn9 0.8547 0.1057 0.9605
Zn10 0.9699 0.2500 0.7199
Au1 0.1136 0.6549 0.7686
Au2 0.2500 0.2500 0.0000
Au3 0.3864 0.1549 0.5413
Au4 0.6136 0.8451 0.4587
Au5 0.7500 0.7500 0.0000
Au6 0.8864 0.3451 0.2314
```

This entry pairs a crystal structure of AcCuB4 with its computed XRD peak list. Radiation: CuKα. Structure: a cell relaxed with PBE.
No peak broadening, texture or thermal motion is included.

Main lines, in order of rising 2θ (2θ from 10° to 90°):
d (Å), Rel. int.
7.147, 55
3.573, 45
2.850, 81
2.647, 44
2.228, 100
1.645, 22
1.514, 27
1.494, 23

Crystal structure
```
data_AcCuB4
_chemical_formula_sum 'Ac1 Cu1 B4'
_cell_length_a 3.2905
_cell_length_b 3.2905
_cell_length_c 7.1468
_cell_angle_alpha 90.00
_cell_angle_beta 90.00
_cell_angle_gamma 120.00
_space_group_name_H-M_alt 'P 1'
_space_group_IT_number 1
_space_group_name_Hall 'P 1'
loop_
_atom_site_label
_atom_site_fract_x
_atom_site_fract_y
_atom_site_fract_z
Ac1 0.0000 0.0000 0.0000
Cu1 0.0000 0.0000 0.5000
B1 0.3333 0.6667 0.3096
B2 0.3333 0.6667 0.6904
B3 0.6667 0.3333 0.3096
B4 0.6667 0.3333 0.6904
```

This entry pairs a crystal structure of AcTaB with its computed XRD peak list. Radiation: CuKα. Structure: a cell relaxed with PBE.
No peak broadening, texture or thermal motion is included.

Main lines, in order of rising 2θ (2θ from 10° to 90°):
d (Å), Rel. int.
3.654, 2
3.165, 100
2.238, 85
1.827, 29
1.582, 15
1.415, 38
1.292, 30
1.119, 10

Crystal structure
```
data_AcTaB
_chemical_formula_sum 'Ac4 Ta4 B4'
_cell_length_a 6.3294
_cell_length_b 6.3294
_cell_length_c 6.3294
_cell_angle_alpha 90.00
_cell_angle_beta 90.00
_cell_angle_gamma 90.00
_space_group_name_H-M_alt 'P 1'
_space_group_IT_number 1
_space_group_name_Hall 'P 1'
loop_
_atom_site_label
_atom_site_fract_x
_atom_site_fract_y
_atom_site_fract_z
Ac1 0.0000 0.0000 0.0000
Ac2 0.0000 0.5000 0.5000
Ac3 0.5000 0.0000 0.5000
Ac4 0.5000 0.5000 0.0000
Ta1 0.0000 0.0000 0.5000
Ta2 0.0000 0.5000 0.0000
Ta3 0.5000 0.0000 0.0000
Ta4 0.5000 0.5000 0.5000
B1 0.2500 0.2500 0.2500
B2 0.2500 0.7500 0.7500
B3 0.7500 0.2500 0.7500
B4 0.7500 0.7500 0.2500
```